For Ca5Mn3, a DFT-relaxed cell (PBE, Alexandria) gives the computed powder diffractogram in this record (Cu Kα, 1.54184 Å).
Kinematic intensities with the Lorentz-polarization factor, no thermal factor.

Structure:
```
data_Ca5Mn3
_cell_length_a 9.2052
_cell_length_b 9.2052
_cell_length_c 6.4611
_cell_angle_alpha 90.00
_cell_angle_beta 90.00
_cell_angle_gamma 120.00
_space_group_name_H-M_alt 'P 63/m c m'
_space_group_IT_number 193
_space_group_name_Hall '-P 6c 2'
loop_
_atom_site_label
_atom_site_type_symbol
_atom_site_fract_x
_atom_site_fract_y
_atom_site_fract_z
_atom_site_occupancy
Ca1 Ca 0.0000 0.2510 0.2500 1
Ca2 Ca 0.3333 0.6667 0.0000 1
Mn1 Mn 0.0000 0.4105 0.7500 1
```

Principal peaks in the range 15° ≤ 2θ ≤ 90°, by intensity:
2theta  I_rel  hkl
32.80  1000  2 1 1
33.90  693  1 1 2
33.73  350  3 0 0
43.25  292  3 1 1
29.65  262  2 1 0
52.21  239  2 1 3
27.61  230  0 0 2
35.78  166  2 0 2
65.26  133  5 0 2
59.96  101  3 1 3